Record 1
The following is a calculated powder X-ray diffraction pattern of Mn3As. It was derived from a PBE-relaxed structure, using Cu Kα X-rays.
Peak positions follow from Bragg's law for the DFT cell and can differ from measured ones.

Main lines, by intensity (2θ = 10–90°):
2θ 45.74, rel. 100
2θ 38.94, rel. 29
2θ 35.14, rel. 29
2θ 49.59, rel. 24
2θ 50.01, rel. 24
2θ 73.09, rel. 14
2θ 47.12, rel. 11
2θ 11.47, rel. 10

Structural model:
Lattice parameters (Å, degrees): 7.9304 7.9304 3.6475 90.00 90.00 153.19
Fractional positions:
Mn (0.0497, 0.9503, 0.7500)
Mn (0.1803, 0.8197, 0.2500)
Mn (0.4478, 0.5522, 0.7500)
Mn (0.5522, 0.4478, 0.2500)
Mn (0.8197, 0.1803, 0.7500)
Mn (0.9503, 0.0497, 0.2500)
As (0.3418, 0.6582, 0.2500)
As (0.6582, 0.3418, 0.7500)



Record 2
The following is a calculated powder X-ray diffraction pattern of ErNiC2. It was derived from a PBE-relaxed structure, using Cu Kα X-rays.
Peak positions follow from Bragg's law for the DFT cell and can differ from measured ones.

Main lines, by intensity (2θ = 10–90°):
2θ 35.59, rel. 100
2θ 24.74, rel. 34
2θ 39.47, rel. 24
2θ 29.89, rel. 22
2θ 40.02, rel. 19
2θ 50.05, rel. 18
2θ 50.74, rel. 14
2θ 57.46, rel. 14

Structural model:
Lattice parameters (Å, degrees): 3.5371 3.7433 3.7433 74.02 90.00 90.00
Fractional positions:
Er (0.0000, 0.0000, 0.0000)
Ni (0.5000, 0.3887, 0.3887)
C (0.5000, 0.5476, 0.8528)
C (0.5000, 0.8528, 0.5476)



Record 3
The following is a calculated powder X-ray diffraction pattern of Ba4Cl6O. It was derived from a PBE-relaxed structure, using Cu Kα X-rays.
Peak positions follow from Bragg's law for the DFT cell and can differ from measured ones.

Main lines, by intensity (2θ = 10–90°):
2θ 23.34, rel. 100
2θ 30.91, rel. 60
2θ 35.45, rel. 52
2θ 32.77, rel. 42
2θ 23.10, rel. 33
2θ 29.33, rel. 33
2θ 40.74, rel. 32
2θ 20.25, rel. 30

Structural model:
Lattice parameters (Å, degrees): 10.1275 10.1275 7.6991 90.00 90.00 120.00
Fractional positions:
Ba (0.1956, 0.3912, 0.0000)
Ba (0.1956, 0.8044, 0.0000)
Ba (0.3333, 0.6667, 0.4348)
Ba (0.3912, 0.1956, 0.5000)
Ba (0.6088, 0.8044, 0.0000)
Ba (0.6667, 0.3333, 0.9348)
Ba (0.8044, 0.1956, 0.5000)
Ba (0.8044, 0.6088, 0.5000)
Cl (0.0627, 0.5313, 0.7165)
Cl (0.1455, 0.2910, 0.3956)
Cl (0.1455, 0.8545, 0.3956)
Cl (0.2910, 0.1455, 0.8956)
Cl (0.4687, 0.5313, 0.7165)
Cl (0.4687, 0.9373, 0.7165)
Cl (0.5313, 0.0627, 0.2165)
Cl (0.5313, 0.4687, 0.2165)
Cl (0.7090, 0.8545, 0.3956)
Cl (0.8545, 0.1455, 0.8956)
Cl (0.8545, 0.7090, 0.8956)
Cl (0.9373, 0.4687, 0.2165)
O (0.3333, 0.6667, 0.1032)
O (0.6667, 0.3333, 0.6032)



Record 4
The following is a calculated powder X-ray diffraction pattern of HfP2O7. It was derived from a PBE-relaxed structure, using Cu Kα X-rays.
Peak positions follow from Bragg's law for the DFT cell and can differ from measured ones.

Main lines, by intensity (2θ = 10–90°):
2θ 16.38, rel. 100
2θ 17.04, rel. 73
2θ 21.85, rel. 45
2θ 29.22, rel. 42
2θ 28.22, rel. 41
2θ 25.65, rel. 29
2θ 20.75, rel. 28
2θ 29.10, rel. 27

Structural model:
Lattice parameters (Å, degrees): 5.0333 7.1533 8.4407 91.33 92.85 107.17
Fractional positions:
Hf (0.0000, 0.0000, 0.0000)
Hf (0.5000, 0.5000, 0.5000)
P (0.0253, 0.6354, 0.2620)
P (0.3783, 0.7492, 0.8091)
P (0.6217, 0.2508, 0.1909)
P (0.9747, 0.3646, 0.7380)
O (0.0997, 0.8146, 0.1611)
O (0.1320, 0.3374, 0.5921)
O (0.1850, 0.5341, 0.8527)
O (0.2057, 0.8901, 0.8296)
O (0.2795, 0.5687, 0.3078)
O (0.3707, 0.2073, 0.0722)
O (0.4577, 0.7337, 0.6369)
O (0.5423, 0.2663, 0.3631)
O (0.6293, 0.7927, 0.9278)
O (0.7205, 0.4313, 0.6922)
O (0.7943, 0.1099, 0.1704)
O (0.8151, 0.4659, 0.1473)
O (0.8680, 0.6626, 0.4079)
O (0.9003, 0.1854, 0.8389)



Record 5
The following is a calculated powder X-ray diffraction pattern of NaCe5S8. It was derived from a PBE-relaxed structure, using Cu Kα X-rays.
Peak positions follow from Bragg's law for the DFT cell and can differ from measured ones.

Main lines, by intensity (2θ = 10–90°):
2θ 33.13, rel. 100
2θ 25.51, rel. 93
2θ 39.42, rel. 67
2θ 47.54, rel. 28
2θ 50.03, rel. 25
2θ 67.57, rel. 24
2θ 14.65, rel. 21
2θ 54.77, rel. 19

Structural model:
Lattice parameters (Å, degrees): 7.4056 7.4056 7.4056 109.55 109.55 109.31
Fractional positions:
Na (0.0000, 0.0000, 0.0000)
Ce (0.2407, 0.1187, 0.6195)
Ce (0.3788, 0.7593, 0.8780)
Ce (0.4991, 0.6212, 0.3805)
Ce (0.7500, 0.2500, 0.5000)
Ce (0.8813, 0.5009, 0.1220)
S (0.1221, 0.3759, 0.4019)
S (0.1302, 0.3875, 0.8969)
S (0.2799, 0.8779, 0.2538)
S (0.4906, 0.2333, 0.1031)
S (0.6125, 0.5094, 0.7427)
S (0.6241, 0.0261, 0.7462)
S (0.7667, 0.8698, 0.2573)
S (0.9739, 0.7201, 0.5981)



Record 6
The following is a calculated powder X-ray diffraction pattern of ErS2. It was derived from a PBE-relaxed structure, using Cu Kα X-rays.
Peak positions follow from Bragg's law for the DFT cell and can differ from measured ones.

Main lines, by intensity (2θ = 10–90°):
2θ 40.08, rel. 100
2θ 25.54, rel. 93
2θ 25.66, rel. 86
2θ 32.64, rel. 72
2θ 22.62, rel. 51
2θ 41.55, rel. 37
2θ 41.63, rel. 37
2θ 34.63, rel. 26

Structural model:
Lattice parameters (Å, degrees): 7.8611 3.8694 7.7818 90.00 90.11 90.00
Fractional positions:
Er (0.2253, 0.2150, 0.3708)
Er (0.2253, 0.2850, 0.8708)
Er (0.7747, 0.7150, 0.1292)
Er (0.7747, 0.7850, 0.6292)
S (0.1304, 0.7396, 0.1252)
S (0.1304, 0.7604, 0.6252)
S (0.4969, 0.6662, 0.3879)
S (0.4969, 0.8338, 0.8879)
S (0.5031, 0.1662, 0.1121)
S (0.5031, 0.3338, 0.6121)
S (0.8696, 0.2396, 0.3748)
S (0.8696, 0.2604, 0.8748)



Record 7
The following is a calculated powder X-ray diffraction pattern of HfGeIr. It was derived from a PBE-relaxed structure, using Cu Kα X-rays.
Peak positions follow from Bragg's law for the DFT cell and can differ from measured ones.

Main lines, by intensity (2θ = 10–90°):
2θ 35.27, rel. 100
2θ 37.29, rel. 72
2θ 42.25, rel. 41
2θ 44.75, rel. 38
2θ 43.19, rel. 28
2θ 69.85, rel. 26
2θ 38.29, rel. 23
2θ 36.33, rel. 21

Structural model:
Lattice parameters (Å, degrees): 6.5394 4.0508 7.5577 90.00 90.00 90.00
Fractional positions:
Hf (0.0203, 0.2500, 0.1854)
Hf (0.4797, 0.7500, 0.6854)
Hf (0.5203, 0.2500, 0.3146)
Hf (0.9797, 0.7500, 0.8146)
Ge (0.2308, 0.7500, 0.3809)
Ge (0.2692, 0.2500, 0.8809)
Ge (0.7308, 0.7500, 0.1191)
Ge (0.7692, 0.2500, 0.6191)
Ir (0.1553, 0.2500, 0.5646)
Ir (0.3447, 0.7500, 0.0646)
Ir (0.6553, 0.2500, 0.9354)
Ir (0.8447, 0.7500, 0.4354)